# 1
For Pm3As5Pd6, a cell relaxed with GGA-PBE gives the computed powder XRD pattern in this record (λ = 1.5418 Å (Cu Kα)).

Top 10 peaks for 10 to 80 degrees two-theta, by angle:
d/Å	I_rel
2.635	264
2.614	287
2.570	1000
2.138	321
2.093	322
1.655	99
1.639	125
1.496	149
1.460	124
1.283	112

Atomic structure:
abc: 4.1862 12.8324 10.0381
angles: 90.00 90.00 90.00
Space group Pmmn (No. 59, origin choice 2)
Unique sites:
Pm 0.2500 0.0838 0.2454 (multiplicity 4)
Pm 0.2500 0.7500 0.2540 (multiplicity 2)
As 0.2500 0.0854 0.8517 (multiplicity 4)
As 0.2500 0.6261 0.5262 (multiplicity 4)
As 0.2500 0.7500 0.8473 (multiplicity 2)
Pd 0.2500 0.0630 0.6053 (multiplicity 4)
Pd 0.2500 0.2500 0.9996 (multiplicity 2)
Pd 0.2500 0.2500 0.4723 (multiplicity 2)
Pd 0.2500 0.5818 0.9993 (multiplicity 4)



# 2
For Cs2SbPdCl6, a cell relaxed with GGA-PBE gives the computed powder XRD pattern in this record (λ = 1.5418 Å (Cu Kα)).

Top 10 peaks for 10 to 80 degrees two-theta, by angle:
d/Å	I_rel
3.741	1000
3.054	145
2.645	577
2.160	455
1.870	392
1.673	207
1.527	132
1.414	238
1.248	53
1.246	65

Atomic structure:
abc: 7.4767 7.4767 10.5927
angles: 90.00 90.00 90.00
Space group I4/mmm (No. 139)
Unique sites:
Cs 0.0000 0.5000 0.2500 (multiplicity 4)
Sb 0.0000 0.0000 0.0000 (multiplicity 2)
Pd 0.0000 0.0000 0.5000 (multiplicity 2)
Cl 0.0000 0.0000 0.2523 (multiplicity 4)
Cl 0.2467 0.2467 0.5000 (multiplicity 8)



# 3
For CePaCu4, a cell relaxed with GGA-PBE gives the computed powder XRD pattern in this record (λ = 1.5418 Å (Cu Kα)).

Top 10 peaks for 10 to 80 degrees two-theta, by angle:
d/Å	I_rel
7.743	95
3.872	172
3.724	103
3.079	378
2.560	1000
2.410	550
1.917	646
1.628	121
1.501	247
1.356	301

Atomic structure:
abc: 3.8364 3.8364 15.4868
angles: 90.00 90.00 90.00
Space group I-4m2 (No. 119)
Unique sites:
Ce 0.0000 0.0000 0.0000 (multiplicity 2)
Pa 0.0000 0.5000 0.2500 (multiplicity 2)
Cu 0.0000 0.0000 0.4197 (multiplicity 4)
Cu 0.0000 0.5000 0.6722 (multiplicity 4)



# 4
For LiSb5Pd3, a cell relaxed with GGA-PBE gives the computed powder XRD pattern in this record (λ = 1.5418 Å (Cu Kα)).

Top 10 peaks for 10 to 80 degrees two-theta, by angle:
d/Å	I_rel
4.283	1000
3.154	414
2.941	925
2.711	466
2.393	482
2.297	363
2.210	640
2.145	349
2.019	393
1.879	465

Atomic structure:
abc: 12.6390 8.5818 9.0427
angles: 90.00 113.77 90.00
Space group C2/m (No. 12)
Unique sites:
Li 0.1125 0.0000 0.3058 (multiplicity 4)
Sb 0.0000 0.3051 0.0000 (multiplicity 4)
Sb 0.0445 0.5000 0.3251 (multiplicity 4)
Sb 0.1789 0.2048 0.5963 (multiplicity 8)
Sb 0.2141 0.0000 0.0327 (multiplicity 4)
Pd 0.0000 0.0000 0.0000 (multiplicity 2)
Pd 0.0000 0.0000 0.5000 (multiplicity 2)
Pd 0.1603 0.5000 0.6586 (multiplicity 4)
Pd 0.1875 0.5000 0.1709 (multiplicity 4)



# 5
For Th8Co2Rh, a cell relaxed with GGA-PBE gives the computed powder XRD pattern in this record (λ = 1.5418 Å (Cu Kα)).

Top 10 peaks for 10 to 80 degrees two-theta, by angle:
d/Å	I_rel
3.232	459
2.980	1000
2.962	792
2.874	807
2.794	701
2.663	437
2.553	535
2.526	364
2.480	660
2.380	531

Atomic structure:
abc: 7.8748 13.2189 6.1036
angles: 90.00 107.57 90.00
Space group Cm (No. 8)
Unique sites:
Th 0.0000 0.0000 0.0000 (multiplicity 2)
Th 0.0933 0.3718 0.7900 (multiplicity 4)
Th 0.1267 0.1309 0.5677 (multiplicity 4)
Th 0.2206 0.5000 0.3645 (multiplicity 2)
Th 0.3304 0.2127 0.1717 (multiplicity 4)
Co 0.3885 0.2904 0.7276 (multiplicity 4)
Rh 0.3628 0.0000 0.3956 (multiplicity 2)



# 6
For Sc2CdGa2Pd5, a cell relaxed with GGA-PBE gives the computed powder XRD pattern in this record (λ = 1.5418 Å (Cu Kα)).

Top 10 peaks for 10 to 80 degrees two-theta, by angle:
d/Å	I_rel
4.262	257
2.522	204
2.362	1000
2.312	284
2.171	417
2.131	204
1.902	237
1.469	129
1.420	171
1.271	134

Atomic structure:
abc: 9.5312 9.5312 3.8039
angles: 90.00 90.00 90.00
Space group P4/mbm (No. 127)
Unique sites:
Sc 0.1739 0.3261 0.0000 (multiplicity 4)
Cd 0.0000 0.0000 0.0000 (multiplicity 2)
Ga 0.1246 0.6246 0.0000 (multiplicity 4)
Pd 0.0000 0.5000 0.5000 (multiplicity 2)
Pd 0.0713 0.7924 0.5000 (multiplicity 8)



# 7
For Ce4InS8, a cell relaxed with GGA-PBE gives the computed powder XRD pattern in this record (λ = 1.5418 Å (Cu Kα)).

Top 10 peaks for 10 to 80 degrees two-theta, by angle:
d/Å	I_rel
6.464	1000
3.604	870
3.164	319
3.139	564
2.423	255
2.417	287
2.398	499
2.084	188
2.079	378
1.985	187

Atomic structure:
abc: 12.9305 8.3374 9.5981
angles: 90.00 131.44 90.00
Space group C2/m (No. 12)
Unique sites:
Ce 0.0000 0.2463 0.0000 (multiplicity 4)
Ce 0.2285 0.0000 0.4980 (multiplicity 4)
In 0.0000 0.5000 0.5000 (multiplicity 2)
S 0.0072 0.5000 0.8185 (multiplicity 4)
S 0.0315 0.0000 0.8407 (multiplicity 4)
S 0.2264 0.2654 0.6676 (multiplicity 8)



# 8
For CeCo2Si3, a cell relaxed with GGA-PBE gives the computed powder XRD pattern in this record (λ = 1.5418 Å (Cu Kα)).

Top 10 peaks for 10 to 80 degrees two-theta, by angle:
d/Å	I_rel
3.367	200
3.037	192
2.958	230
2.723	407
2.467	258
2.399	1000
2.339	270
1.987	186
1.933	314
1.918	371

Atomic structure:
abc: 15.3368 3.8654 9.1979
angles: 90.00 105.21 90.00
Space group C2/m (No. 12)
Unique sites:
Ce 0.0000 0.0000 0.0000 (multiplicity 2)
Ce 0.1515 0.0000 0.7019 (multiplicity 4)
Co 0.0060 0.5000 0.7625 (multiplicity 4)
Co 0.1441 0.5000 0.4423 (multiplicity 4)
Co 0.2048 0.0000 0.1021 (multiplicity 4)
Si 0.0000 0.5000 0.5000 (multiplicity 2)
Si 0.0509 0.0000 0.3603 (multiplicity 4)
Si 0.1391 0.5000 0.1927 (multiplicity 4)
Si 0.1501 0.5000 0.9415 (multiplicity 4)
Si 0.2200 0.0000 0.3764 (multiplicity 4)



Please write out number 8 again, unchanged.
For CeCo2Si3, a cell relaxed with GGA-PBE gives the computed powder XRD pattern in this record (λ = 1.5418 Å (Cu Kα)).

Top 10 peaks for 10 to 80 degrees two-theta, by angle:
d/Å	I_rel
3.367	200
3.037	192
2.958	230
2.723	407
2.467	258
2.399	1000
2.339	270
1.987	186
1.933	314
1.918	371

Atomic structure:
abc: 15.3368 3.8654 9.1979
angles: 90.00 105.21 90.00
Space group C2/m (No. 12)
Unique sites:
Ce 0.0000 0.0000 0.0000 (multiplicity 2)
Ce 0.1515 0.0000 0.7019 (multiplicity 4)
Co 0.0060 0.5000 0.7625 (multiplicity 4)
Co 0.1441 0.5000 0.4423 (multiplicity 4)
Co 0.2048 0.0000 0.1021 (multiplicity 4)
Si 0.0000 0.5000 0.5000 (multiplicity 2)
Si 0.0509 0.0000 0.3603 (multiplicity 4)
Si 0.1391 0.5000 0.1927 (multiplicity 4)
Si 0.1501 0.5000 0.9415 (multiplicity 4)
Si 0.2200 0.0000 0.3764 (multiplicity 4)